This entry pairs a crystal structure of RbSc4F12 with its simulated X-ray powder pattern. Radiation: CuKα. Structure: a DFT-relaxed cell (PBE, Alexandria).

```
17
Lattice="-4.148 4.148 4.148 4.148 -4.148 4.148 4.148 4.148 -4.148" Properties=species:S:1:pos:R:3 pbc="T T T"
Rb 0.000 0.000 0.000
Sc 2.074 2.074 -2.074
Sc 2.074 -2.074 2.074
Sc -2.074 2.074 2.074
Sc 2.074 2.074 2.074
F 4.148 2.106 -2.106
F 4.148 -2.106 2.106
F 2.106 4.148 -2.106
F 2.043 2.043 0.000
F 2.043 0.000 2.043
F 2.106 -2.106 4.148
F 0.000 2.043 2.043
F 4.148 2.106 2.106
F -2.106 4.148 2.106
F -2.106 2.106 4.148
F 2.106 4.148 2.106
F 2.106 2.106 4.148
```

The 10 most intense peaks (15 to 90 degrees two-theta), in order of rising 2θ:
2θ (°), Rel. int.
15.10, 100
21.42, 90
26.31, 45
30.47, 77
34.18, 22
40.69, 32
43.64, 96
49.11, 29
54.16, 30
63.42, 52

***

This entry pairs a crystal structure of Rb3ScF6 with its simulated X-ray powder pattern. Radiation: CuKα. Structure: a DFT-relaxed cell (PBE, Alexandria).

```
20
Lattice="6.509 0.000 0.000 0.000 6.509 0.000 0.000 0.000 9.514" Properties=species:S:1:pos:R:3 pbc="T T T"
Rb 0.000 0.000 0.000
Rb 0.000 3.254 2.379
Rb 0.000 3.254 7.136
Rb 3.254 0.000 2.379
Rb 3.254 0.000 7.136
Rb 3.254 3.254 4.757
Sc 0.000 0.000 4.757
Sc 3.254 3.254 0.000
F 0.000 0.000 2.712
F 0.000 0.000 6.802
F 0.889 1.841 4.757
F 1.414 2.365 0.000
F 1.841 5.620 4.757
F 2.365 5.095 0.000
F 3.254 3.254 2.045
F 3.254 3.254 7.470
F 4.144 1.414 0.000
F 4.668 0.889 4.757
F 5.095 4.144 0.000
F 5.620 4.668 4.757
```

The 10 most intense peaks (15 to 90 degrees two-theta), in order of rising 2θ:
2θ (°), Rel. int.
26.95, 100
27.41, 66
37.82, 25
39.15, 34
47.34, 26
48.17, 50
55.57, 21
63.97, 16
75.72, 15
76.78, 17

***

This entry pairs a crystal structure of RbSc3F10 with its simulated X-ray powder pattern. Radiation: CuKα. Structure: a DFT-relaxed cell (PBE, Alexandria).

```
28
Lattice="8.089 0.000 0.000 0.000 7.667 0.000 0.000 0.000 6.766" Properties=species:S:1:pos:R:3 pbc="T T T"
Rb 2.022 0.000 0.032
Rb 6.067 0.000 6.734
Sc 0.000 1.767 3.383
Sc 0.000 3.834 0.000
Sc 0.000 5.900 3.383
Sc 4.045 1.767 3.383
Sc 4.045 3.834 0.000
Sc 4.045 5.900 3.383
F 0.000 3.834 3.383
F 0.091 0.000 4.575
F 0.272 2.335 5.424
F 0.272 5.332 5.424
F 2.022 1.707 3.110
F 2.022 3.834 0.369
F 2.022 5.960 3.110
F 3.773 2.335 5.424
F 3.773 5.332 5.424
F 3.954 0.000 4.575
F 4.045 3.834 3.383
F 4.135 0.000 2.191
F 4.316 2.335 1.341
F 4.316 5.332 1.341
F 6.067 1.707 3.656
F 6.067 3.834 6.397
F 6.067 5.960 3.656
F 7.817 2.335 1.341
F 7.817 5.332 1.341
F 7.998 0.000 2.191
```

The 10 most intense peaks (15 to 90 degrees two-theta), in order of rising 2θ:
2θ (°), Rel. int.
24.89, 32
25.66, 37
26.35, 46
26.73, 100
28.22, 55
36.56, 33
44.82, 36
46.73, 44
50.10, 33
66.73, 31

***

This entry pairs a crystal structure of RbScSn2F8 with its simulated X-ray powder pattern. Radiation: CuKα. Structure: a DFT-relaxed cell (PBE, Alexandria).

```
12
Lattice="5.404 0.000 0.000 0.358 5.495 0.000 0.287 0.500 7.818" Properties=species:S:1:pos:R:3 pbc="T T T"
Rb 0.000 0.000 0.000
Sc 0.144 0.250 3.909
Sn 2.904 2.817 2.068
Sn 3.146 3.178 5.750
F 1.177 4.410 2.516
F 1.778 5.057 5.362
F 1.554 1.601 3.286
F 1.890 1.941 0.467
F 4.160 4.053 7.351
F 4.496 4.394 4.532
F 4.272 0.937 2.456
F 4.873 1.584 5.302
```

The 10 most intense peaks (15 to 90 degrees two-theta), in order of rising 2θ:
2θ (°), Rel. int.
22.39, 100
23.87, 93
27.16, 48
27.75, 49
28.64, 40
28.88, 38
33.25, 24
43.65, 21
44.35, 40
44.85, 36